Starting from a crystal structure in Alexandria, relaxed with PBE, the powder diffractogram of SrCd2O was computed for Cu Kα (λ = 1.5418 Å).
Peak positions follow from Bragg's law for the DFT cell and can differ from measured ones.

Cell and atoms:
```
data_SrCd2O
_space_group_name_H-M_alt 'P 1'
_space_group_IT_number 1
_cell_length_a 6.6216
_cell_length_b 6.6216
_cell_length_c 6.6216
_cell_angle_alpha 98.24
_cell_angle_beta 98.24
_cell_angle_gamma 135.52
loop_
_space_group_symop_operation_xyz
'x,y,z'
loop_
_atom_site_label
_atom_site_fract_x
_atom_site_fract_y
_atom_site_fract_z
Sr1 0.0000 0.0000 0.0000
Sr2 0.7500 0.2500 0.5000
Cd1 0.2021 0.6250 0.0771
Cd2 0.3750 0.4521 0.5771
Cd3 0.5479 0.1250 0.9229
Cd4 0.8750 0.7979 0.4229
O1 0.2500 0.7500 0.5000
O2 0.5000 0.5000 0.0000
```

Peak list (10 most intense, 2θ from 15° to 90°, in order of falling intensity)
d (Å)	Rel. int.
3.066	100
2.320	36
1.639	26
2.167	24
2.503	23
1.533	16
1.850	16
1.372	12
1.939	11
1.202	10